Diffraction record for Fe4Ni4PdS8. The powder diffractogram is computed, not measured: it uses a GGA-PBE-relaxed structure and Cu Kα X-rays.

Atomic structure:
Cell lengths 7.1167, 7.1167, 7.1167 Å; angles 60.00, 60.00, 60.00 degrees
Element x y z (fractional)
Fe (0.1244, 0.1244, 0.1244)
Fe (0.1244, 0.1244, 0.6268)
Fe (0.1244, 0.6268, 0.1244)
Fe (0.6268, 0.1244, 0.1244)
Ni (0.3773, 0.3773, 0.3773)
Ni (0.3773, 0.3773, 0.8681)
Ni (0.3773, 0.8681, 0.3773)
Ni (0.8681, 0.3773, 0.3773)
Pd (0.7500, 0.7500, 0.7500)
S (0.0000, 0.0000, 0.0000)
S (0.5000, 0.5000, 0.5000)
S (0.5009, 0.5009, 0.9991)
S (0.5009, 0.9991, 0.5009)
S (0.5009, 0.9991, 0.9991)
S (0.9991, 0.5009, 0.5009)
S (0.9991, 0.5009, 0.9991)
S (0.9991, 0.9991, 0.5009)

Most intense lines, 15 to 90 degrees two-theta, low angle first:
d_spacing  2θ (°)  I_rel
5.032  17.6  11
3.558  25.0  11
3.035  29.4  100
2.905  30.8  10
1.937  46.9  34
1.779  51.4  89
1.535  60.3  12
1.310  72.1  21
1.258  75.6  13
1.162  83.1  10